# 1
For Y5Zn, a structure optimized by DFT (GGA-PBE) gives the theoretical X-ray powder pattern in this record (Cu Kα X-rays).

Atomic structure:
a b c (Å): 3.5741 3.5741 13.8059
angles (deg): 90.00 90.00 90.00
Sites, in units of the cell vectors:
Y  0.0000  0.0000  0.0000
Y  0.0000  0.0000  0.3715
Y  0.0000  0.0000  0.6285
Y  0.5000  0.5000  0.1831
Y  0.5000  0.5000  0.8169
Zn  0.5000  0.5000  0.5000

Main lines, by angle (2θ from 10° to 90°):
2θ = 28.1°, I 10.9
2θ = 31.7°, I 100.0
2θ = 32.4°, I 8.8
2θ = 35.5°, I 45.3
2θ = 48.9°, I 10.8
2θ = 51.1°, I 15.6
2θ = 53.9°, I 10.7
2θ = 59.5°, I 9.9
2θ = 61.4°, I 28.3
2θ = 82.2°, I 7.7

# 2
For Y2ZrZn3, a structure optimized by DFT (GGA-PBE) gives the theoretical X-ray powder pattern in this record (Cu Kα X-rays).

Atomic structure:
a b c (Å): 4.9329 4.9329 6.0885
angles (deg): 90.00 90.00 120.00
Sites, in units of the cell vectors:
Y  0.3333  0.6667  0.1742
Y  0.6667  0.3333  0.8258
Zr  0.0000  0.0000  0.5000
Zn  0.0000  0.0000  0.0000
Zn  0.3333  0.6667  0.6607
Zn  0.6667  0.3333  0.3393

Main lines, by angle (2θ from 10° to 90°):
2θ = 36.2°, I 100.0
2θ = 36.4°, I 99.0
2θ = 52.3°, I 33.7
2θ = 65.0°, I 16.7
2θ = 65.4°, I 33.2
2θ = 65.6°, I 16.6
2θ = 76.9°, I 10.0
2θ = 77.4°, I 10.1
2θ = 88.2°, I 14.3
2θ = 88.6°, I 14.4

# 3
For Y3Zr2Zn3, a structure optimized by DFT (GGA-PBE) gives the theoretical X-ray powder pattern in this record (Cu Kα X-rays).

Atomic structure:
a b c (Å): 10.9354 10.9354 10.9354
angles (deg): 161.82 153.28 32.51
Sites, in units of the cell vectors:
Y  0.0000  0.0000  0.0000
Y  0.3758  0.8758  0.5000
Y  0.6242  0.1242  0.5000
Zr  0.2326  0.2326  0.0000
Zr  0.7674  0.7674  0.0000
Zn  0.1195  0.6195  0.5000
Zn  0.5000  0.5000  0.0000
Zn  0.8805  0.3805  0.5000

Main lines, by angle (2θ from 10° to 90°):
2θ = 34.2°, I 24.1
2θ = 35.5°, I 27.1
2θ = 35.8°, I 100.0
2θ = 50.1°, I 15.7
2θ = 53.0°, I 8.3
2θ = 62.2°, I 12.0
2θ = 64.0°, I 17.3
2θ = 64.6°, I 7.1
2θ = 65.4°, I 8.6
2θ = 75.9°, I 8.7

# 4
For YZr11, a structure optimized by DFT (GGA-PBE) gives the theoretical X-ray powder pattern in this record (Cu Kα X-rays).

Atomic structure:
a b c (Å): 10.2243 10.2243 3.1761
angles (deg): 90.00 90.00 120.00
Sites, in units of the cell vectors:
Y  0.0000  0.0000  0.0000
Zr  0.0000  0.5000  0.0000
Zr  0.1751  0.3502  0.5000
Zr  0.1751  0.8249  0.5000
Zr  0.3333  0.6667  0.0000
Zr  0.3502  0.1751  0.5000
Zr  0.5000  0.0000  0.0000
Zr  0.5000  0.5000  0.0000
Zr  0.6498  0.8249  0.5000
Zr  0.6667  0.3333  0.0000
Zr  0.8249  0.1751  0.5000
Zr  0.8249  0.6498  0.5000

Main lines, by angle (2θ from 10° to 90°):
2θ = 33.2°, I 25.9
2θ = 34.8°, I 52.4
2θ = 35.1°, I 100.0
2θ = 39.1°, I 16.0
2θ = 41.8°, I 14.2
2θ = 50.2°, I 17.2
2θ = 55.7°, I 10.8
2θ = 62.8°, I 16.8
2θ = 63.0°, I 16.3
2θ = 69.7°, I 25.8

# 5
For Y3Zr4, a structure optimized by DFT (GGA-PBE) gives the theoretical X-ray powder pattern in this record (Cu Kα X-rays).

Atomic structure:
a b c (Å): 13.2060 13.2060 13.2060
angles (deg): 163.32 163.32 23.67
Sites, in units of the cell vectors:
Y  0.0000  0.0000  0.0000
Y  0.2975  0.2975  0.0000
Y  0.7025  0.7025  0.0000
Zr  0.1272  0.1272  0.0000
Zr  0.4219  0.4219  0.0000
Zr  0.5781  0.5781  0.0000
Zr  0.8728  0.8728  0.0000

Main lines, by angle (2θ from 10° to 90°):
2θ = 33.1°, I 67.0
2θ = 33.7°, I 100.0
2θ = 47.5°, I 23.7
2θ = 48.7°, I 8.3
2θ = 59.5°, I 37.0
2θ = 60.7°, I 7.5
2θ = 66.1°, I 8.1
2θ = 79.0°, I 10.1
2θ = 79.4°, I 7.8
2θ = 85.4°, I 7.9

# 6
For Y3Zr, a structure optimized by DFT (GGA-PBE) gives the theoretical X-ray powder pattern in this record (Cu Kα X-rays).

Atomic structure:
a b c (Å): 3.5172 5.4963 6.1580
angles (deg): 90.00 90.00 90.00
Sites, in units of the cell vectors:
Y  0.0000  0.0000  0.0000
Y  0.0000  0.5000  0.3363
Y  0.5000  0.0000  0.5215
Zr  0.5000  0.5000  0.8380

Main lines, by angle (2θ from 10° to 90°):
2θ = 29.2°, I 26.8
2θ = 32.6°, I 37.2
2θ = 33.4°, I 54.4
2θ = 33.6°, I 100.0
2θ = 44.3°, I 16.6
2θ = 51.6°, I 19.3
2θ = 58.8°, I 19.1
2θ = 62.3°, I 21.2
2θ = 62.7°, I 17.6
2θ = 63.2°, I 16.2

# 7
For Y8Zr, a structure optimized by DFT (GGA-PBE) gives the theoretical X-ray powder pattern in this record (Cu Kα X-rays).

Atomic structure:
a b c (Å): 7.9016 7.9016 7.9016
angles (deg): 95.64 95.64 143.46
Sites, in units of the cell vectors:
Y  0.0000  0.3267  0.3267
Y  0.0000  0.6733  0.6733
Y  0.3267  0.0000  0.3267
Y  0.3397  0.3397  0.6793
Y  0.3397  0.6603  0.0000
Y  0.6603  0.3397  0.0000
Y  0.6603  0.6603  0.3207
Y  0.6733  0.0000  0.6733
Zr  0.0000  0.0000  0.0000

Main lines, by angle (2θ from 10° to 90°):
2θ = 31.1°, I 100.0
2θ = 35.9°, I 33.2
2θ = 36.3°, I 16.5
2θ = 51.7°, I 11.2
2θ = 52.0°, I 22.4
2θ = 61.5°, I 25.7
2θ = 62.0°, I 13.3
2θ = 64.8°, I 11.1
2θ = 84.5°, I 4.9
2θ = 84.9°, I 10.4

# 8
For Yb2Zn17, a structure optimized by DFT (GGA-PBE) gives the theoretical X-ray powder pattern in this record (Cu Kα X-rays).

Atomic structure:
a b c (Å): 6.8127 6.8127 6.8127
angles (deg): 82.91 82.91 82.91
Sites, in units of the cell vectors:
Yb  0.1628  0.1628  0.1628
Yb  0.8372  0.8372  0.8372
Zn  0.0000  0.5000  0.5000
Zn  0.1484  0.1484  0.6606
Zn  0.1484  0.6606  0.1484
Zn  0.2018  0.5000  0.7982
Zn  0.2018  0.7982  0.5000
Zn  0.3394  0.8516  0.8516
Zn  0.3991  0.3991  0.3991
Zn  0.5000  0.0000  0.5000
Zn  0.5000  0.2018  0.7982
Zn  0.5000  0.5000  0.0000
Zn  0.5000  0.7982  0.2018
Zn  0.6009  0.6009  0.6009
Zn  0.6606  0.1484  0.1484
Zn  0.7982  0.2018  0.5000
Zn  0.7982  0.5000  0.2018
Zn  0.8516  0.3394  0.8516
Zn  0.8516  0.8516  0.3394

Main lines, by angle (2θ from 10° to 90°):
2θ = 28.4°, I 29.9
2θ = 34.4°, I 41.1
2θ = 35.7°, I 25.2
2θ = 40.0°, I 59.1
2θ = 40.3°, I 100.0
2θ = 41.1°, I 46.2
2θ = 45.2°, I 24.5
2θ = 58.7°, I 22.8
2θ = 72.6°, I 19.0
2θ = 74.3°, I 19.9